Computed PXRD pattern of ScAgSe2 for Cu Kα X-rays, from a cell relaxed with GGA-PBE.
Intensities are scaled so that the largest is 100.

Cell and atoms:
a = 4.0244 Å, b = 6.7663 Å, c = 13.2827 Å
α = 90.00°, β = 90.00°, γ = 90.00°
Space group P2_12_12_1 (No. 19)
Inequivalent atoms, fractional coordinates:
Sc: 0.2139 0.2180 0.3703 [4 per cell]
Ag: 0.0224 0.7141 0.3780 [4 per cell]
Se: 0.2144 0.0765 0.7249 [4 per cell]
Se: 0.2215 0.4723 0.5309 [4 per cell]

Peak list (12 most intense, 2θ = 10–80°, most intense first)
d/Å, two_theta, Rel. int., hkl
3.068, 29.1, 100, 1 1 2
2.370, 38.0, 44, 0 2 4
2.979, 30.0, 29, 1 0 3
2.688, 33.3, 17, 0 2 3
1.940, 46.8, 17, 1 0 6
2.413, 37.3, 16, 1 2 2
2.542, 35.3, 16, 1 2 1
2.235, 40.3, 15, 1 2 3
1.909, 47.6, 13, 2 1 1
3.851, 23.1, 13, 1 0 1
1.865, 48.8, 12, 1 1 6
1.946, 46.7, 10, 1 3 1